Diffraction record for Li8Mn3VP6O24. The XRD peak list is computed, not measured: it uses the PBE+U geometry in Alexandria and a wavelength of 1.5418 Å.
Intensities are scaled so that the largest is 100.

Structural model:
Unit cell a=8.4016 b=8.4381 c=9.1865 alpha=90.71 beta=116.91 gamma=119.42
Space group P1 (No. 1)
Unique sites:
Li (0.0000, 0.0000, 0.0000)
Li (0.0457, 0.2620, 0.5246)
Li (0.3062, 0.1401, 0.3194)
Li (0.3589, 0.4613, 0.8323)
Li (0.4926, 0.9439, 0.5577)
Li (0.6116, 0.8588, 0.2730)
Li (0.7437, 0.5369, 0.5629)
Li (0.8746, 0.4710, 0.2743)
Mn (0.3722, 0.5564, 0.4599)
Mn (0.9634, 0.3491, 0.8552)
Mn (0.9870, 0.8507, 0.3817)
V (0.3868, 0.0540, 0.9795)
P (0.1762, 0.7530, 0.1707)
P (0.1794, 0.6672, 0.6663)
P (0.4635, 0.2420, 0.6745)
P (0.4858, 0.4520, 0.1780)
P (0.8827, 0.1438, 0.1659)
P (0.8864, 0.9556, 0.6600)
O (0.0190, 0.7146, 0.2337)
O (0.0198, 0.3363, 0.3114)
O (0.0609, 0.5926, 0.0135)
O (0.0954, 0.0281, 0.8329)
O (0.0961, 0.4642, 0.6883)
O (0.2484, 0.9526, 0.1341)
O (0.2595, 0.8073, 0.8278)
O (0.2940, 0.4155, 0.0098)
O (0.3093, 0.0483, 0.5209)
O (0.3546, 0.7217, 0.6252)
O (0.3637, 0.3620, 0.6379)
O (0.3835, 0.7771, 0.3217)
O (0.4377, 0.4064, 0.3236)
O (0.4993, 0.2006, 0.8445)
O (0.5623, 0.3242, 0.1523)
O (0.6535, 0.0368, 0.1374)
O (0.6686, 0.6678, 0.2360)
O (0.6750, 0.3429, 0.6762)
O (0.7203, 0.7430, 0.6200)
O (0.8022, 0.0803, 0.6666)
O (0.8886, 0.1672, 0.0038)
O (0.9296, 0.9870, 0.5079)
O (0.9794, 0.6530, 0.5098)
O (0.9839, 0.0238, 0.2293)

Principal peaks in the range 10 to 90 degrees two-theta, in order of rising 2θ:
two_theta, d (Å), I/Imax, index
14.2, 6.228, 70, 1 0 0
14.4, 6.154, 24, -1 1 1
19.4, 4.572, 100, 0 1 1
23.9, 3.728, 75, 1 1 0
24.0, 3.706, 52, 2 -1 0
24.1, 3.687, 22, -2 1 2
28.7, 3.114, 49, 0 2 -2
29.0, 3.077, 21, -2 2 2
31.1, 2.873, 79, 1 1 -3
31.4, 2.853, 39, -1 2 2